This entry pairs a crystal structure of BaAgPb with its calculated X-ray powder pattern. Radiation: λ = 1.5418 Å (Cu Kα). Structure: a cell relaxed with PBE.
Kinematic intensities with the Lorentz-polarization factor, no thermal factor.

Atomic structure:
```
BaAgPb
1.0
-2.5964 4.1250 4.4517
2.5964 -4.1250 4.4517
2.5964 4.1250 -4.4517
Ba Ag Pb
2 2 2
Cartesian
0.0000 0.0000 0.0000
0.0000 4.1250 0.6473
2.5964 1.7500 1.7899
0.0000 2.3750 6.2417
2.5964 2.4894 -1.1657
0.0000 1.6356 3.2861
```

The 12 most intense peaks (2θ = 15–90°), most intense first:
| Position (°2θ) | I/Imax |
| --- | --- |
| 29.42 | 1000 |
| 34.82 | 798 |
| 34.55 | 467 |
| 29.52 | 451 |
| 28.54 | 296 |
| 34.12 | 287 |
| 46.06 | 266 |
| 56.02 | 233 |
| 62.64 | 229 |
| 49.34 | 204 |
| 62.08 | 159 |
| 58.77 | 153 |